Record 1
# Ag2Pt2O7
Calculated X-ray powder pattern, Cu Kα, 1.54184 Å. Input: a crystal structure in Alexandria, relaxed with GGA-PBE.

```
Ag2Pt2O7
1.0
0.000 5.099 5.099
5.099 0.000 5.099
5.099 5.099 0.000
Ag Pt O
4 4 14
direct
0.000 0.000 0.000
0.000 0.000 0.500
0.000 0.500 0.000
0.500 0.000 0.000
0.000 0.500 0.500
0.500 0.000 0.500
0.500 0.500 0.000
0.500 0.500 0.500
0.125 0.125 0.125
0.167 0.167 0.583
0.167 0.583 0.167
0.167 0.583 0.583
0.417 0.417 0.833
0.417 0.833 0.417
0.417 0.833 0.833
0.583 0.167 0.167
0.583 0.167 0.583
0.583 0.583 0.167
0.833 0.417 0.417
0.833 0.417 0.833
0.833 0.833 0.417
0.875 0.875 0.875
```

Main lines, low angle first (2θ = 10–80°):
2θ (°)	I (rel.)
15.05	10
29.04	8
30.36	100
35.20	35
50.63	45
60.19	42
63.17	10
74.42	7

Record 2
# SmEr7
Calculated X-ray powder pattern, Cu Kα, 1.54184 Å. Input: a crystal structure in Alexandria, relaxed with GGA-PBE.

```
SmEr7
1.0
0.000 4.972 4.972
4.972 0.000 4.972
4.972 4.972 0.000
Sm Er
1 7
direct
0.000 0.000 0.000
0.000 0.000 0.500
0.000 0.500 0.000
0.000 0.500 0.500
0.500 0.000 0.000
0.500 0.000 0.500
0.500 0.500 0.000
0.500 0.500 0.500
```

Main lines, low angle first (2θ = 10–80°):
2θ (°)	I (rel.)
31.15	100
36.13	51
52.02	36
61.89	43
64.97	12
76.66	6

Record 3
# InFe2S2
Calculated X-ray powder pattern, Cu Kα, 1.54184 Å. Input: a crystal structure in Alexandria, relaxed with GGA-PBE.

```
InFe2S2
1.0
4.275 0.000 0.000
0.000 4.275 0.000
0.000 0.000 9.214
In Fe S
2 4 4
direct
0.000 0.000 0.000
0.500 0.500 0.500
0.000 0.000 0.362
0.000 0.000 0.638
0.500 0.500 0.138
0.500 0.500 0.862
0.000 0.500 0.250
0.000 0.500 0.750
0.500 0.000 0.250
0.500 0.000 0.750
```

Main lines, low angle first (2θ = 10–80°):
2θ (°)	I (rel.)
29.55	50
35.52	58
36.01	100
42.29	59
54.20	16
56.72	50
61.34	18
68.54	16

Record 4
# KNaTe2Au
Calculated X-ray powder pattern, Cu Kα, 1.54184 Å. Input: a crystal structure in Alexandria, relaxed with GGA-PBE.

```
KNaTe2Au
1.0
3.418 -8.298 0.000
3.418 8.298 0.000
0.000 0.000 5.910
K Na Te Au
2 2 4 2
direct
0.250 0.750 0.754
0.750 0.250 0.246
0.250 0.250 0.000
0.750 0.750 0.000
0.132 0.868 0.260
0.368 0.632 0.260
0.632 0.368 0.740
0.868 0.132 0.740
0.000 0.000 0.500
0.500 0.500 0.500
```

Main lines, low angle first (2θ = 10–80°):
2θ (°)	I (rel.)
10.66	81
18.43	61
20.57	66
25.62	72
26.07	100
32.13	99
33.63	61
37.35	97

Record 5
# Y7CuS5
Calculated X-ray powder pattern, Cu Kα, 1.54184 Å. Input: a crystal structure in Alexandria, relaxed with GGA-PBE.

```
Y7CuS5
1.0
3.897 0.000 0.000
0.000 23.491 0.000
-1.937 0.000 6.430
Y Cu S
14 2 10
direct
0.039 0.250 0.074
0.136 0.537 0.274
0.136 0.963 0.274
0.314 0.177 0.626
0.314 0.323 0.626
0.410 0.609 0.823
0.410 0.891 0.823
0.590 0.109 0.177
0.590 0.391 0.177
0.686 0.677 0.374
0.686 0.823 0.374
0.864 0.037 0.726
0.864 0.463 0.726
0.961 0.750 0.926
0.294 0.750 0.593
0.706 0.250 0.407
0.047 0.642 0.097
0.047 0.858 0.097
0.226 0.071 0.450
0.226 0.429 0.450
0.500 0.000 0.000
0.500 0.500 0.000
0.774 0.571 0.550
0.774 0.929 0.550
0.953 0.142 0.903
0.953 0.358 0.903
```

Main lines, low angle first (2θ = 10–80°):
2θ (°)	I (rel.)
28.35	32
30.04	100
31.96	99
33.11	78
33.55	25
45.64	28
46.59	74
56.45	32

Record 6
# Al3Pd2Rh
Calculated X-ray powder pattern, Cu Kα, 1.54184 Å. Input: a crystal structure in Alexandria, relaxed with GGA-PBE.

```
Al3Pd2Rh
1.0
4.323 0.000 0.000
-2.161 3.743 0.000
0.000 0.000 5.277
Al Pd Rh
3 2 1
direct
0.000 0.000 0.000
0.333 0.667 0.660
0.667 0.333 0.340
0.333 0.667 0.167
0.667 0.333 0.833
0.000 0.000 0.500
```

Main lines, low angle first (2θ = 10–80°):
2θ (°)	I (rel.)
29.25	48
41.84	100
51.83	10
60.66	16
68.68	8
68.81	8
76.36	25
76.57	8